Theoretical X-ray powder pattern of NdS2O6F2 for a wavelength of 1.5418 Å, from the PBE geometry in Alexandria.
Kinematic intensities with the Lorentz-polarization factor, no thermal factor.

Principal peaks in the range 10 to 90 degrees two-theta, low angle first:
2theta	d/Å	I_rel
15.14	5.851	17
17.27	5.135	19
23.05	3.859	100
30.15	2.965	37
33.90	2.644	9
35.31	2.542	28
38.28	2.351	20
46.81	1.941	8
47.09	1.930	17
49.48	1.842	23
50.03	1.823	8
56.48	1.629	10

Structure:
```
NdS2O6F2
1.0
5.929 0.000 0.000
-2.965 5.135 0.000
0.000 0.000 5.851
Nd S O F
1 2 6 2
Direct
0.000 0.000 0.000
0.333 0.667 0.711
0.667 0.333 0.289
0.196 0.391 0.786
0.196 0.804 0.786
0.391 0.196 0.214
0.609 0.804 0.786
0.804 0.196 0.214
0.804 0.609 0.214
0.333 0.667 0.403
0.667 0.333 0.597
```

---

Theoretical X-ray powder pattern of Nd6S3O2F8 for a wavelength of 1.5418 Å, from the PBE geometry in Alexandria.
Kinematic intensities with the Lorentz-polarization factor, no thermal factor.

Principal peaks in the range 10 to 90 degrees two-theta, low angle first:
2theta	d/Å	I_rel
12.92	6.850	32
24.14	3.687	82
27.04	3.297	90
27.17	3.282	90
27.30	3.266	84
30.46	2.934	100
30.57	2.925	50
32.28	2.774	34
32.41	2.762	70
34.94	2.568	46
46.79	1.941	79
54.94	1.671	53

Structure:
```
Nd6S3O2F8
1.0
13.590 0.000 0.000
0.000 3.880 0.000
-6.788 0.000 11.898
Nd S O F
12 6 4 16
Direct
0.000 0.000 0.000
0.045 0.500 0.763
0.138 0.500 0.520
0.229 0.500 0.295
0.338 0.000 0.828
0.419 0.000 0.580
0.518 0.000 0.344
0.574 0.500 0.109
0.671 0.000 0.917
0.755 0.000 0.660
0.806 0.500 0.454
0.884 0.500 0.196
0.008 0.000 0.584
0.083 0.000 0.335
0.469 0.500 0.774
0.558 0.500 0.526
0.754 0.000 0.245
0.816 0.500 0.872
0.298 0.500 0.491
0.699 0.500 0.034
0.714 0.000 0.469
0.850 0.500 0.645
0.029 0.500 0.127
0.083 0.500 0.959
0.176 0.000 0.851
0.183 0.000 0.165
0.214 0.500 0.732
0.259 0.000 0.622
0.351 0.000 0.375
0.379 0.500 0.950
0.388 0.500 0.261
0.488 0.000 0.152
0.529 0.000 0.982
0.602 0.500 0.302
0.616 0.000 0.723
0.872 0.000 0.080
0.943 0.500 0.389
0.965 0.000 0.809
```

---

Theoretical X-ray powder pattern of Nd2SeOF2 for a wavelength of 1.5418 Å, from the PBE geometry in Alexandria.
Kinematic intensities with the Lorentz-polarization factor, no thermal factor.

Principal peaks in the range 10 to 90 degrees two-theta, low angle first:
2theta	d/Å	I_rel
12.72	6.957	37
26.67	3.342	100
30.15	2.964	99
31.97	2.800	78
34.53	2.597	51
35.35	2.539	46
46.15	1.967	28
46.52	1.952	33
47.10	1.929	52
52.93	1.730	43
54.43	1.686	29
68.36	1.372	33

Structure:
```
Nd2SeOF2
1.0
13.914 0.000 0.000
-6.957 12.050 0.000
0.000 0.000 3.904
Nd Se O F
12 6 6 12
Direct
0.055 0.290 0.250
0.119 0.603 0.250
0.235 0.945 0.250
0.290 0.235 0.750
0.397 0.516 0.250
0.484 0.881 0.250
0.516 0.119 0.750
0.603 0.484 0.750
0.710 0.765 0.250
0.765 0.055 0.750
0.881 0.397 0.750
0.945 0.710 0.750
0.205 0.487 0.750
0.282 0.795 0.750
0.487 0.282 0.250
0.513 0.718 0.750
0.718 0.205 0.250
0.795 0.513 0.250
0.015 0.587 0.750
0.413 0.427 0.750
0.427 0.015 0.250
0.573 0.985 0.750
0.587 0.573 0.250
0.985 0.413 0.250
0.068 0.752 0.250
0.102 0.211 0.750
0.109 0.898 0.750
0.211 0.109 0.250
0.248 0.316 0.250
0.316 0.068 0.750
0.684 0.932 0.250
0.752 0.684 0.750
0.789 0.891 0.750
0.891 0.102 0.250
0.898 0.789 0.250
0.932 0.248 0.750
```

---

Theoretical X-ray powder pattern of Nd2Pb5F16 for a wavelength of 1.5418 Å, from the PBE geometry in Alexandria.
Kinematic intensities with the Lorentz-polarization factor, no thermal factor.

Principal peaks in the range 10 to 90 degrees two-theta, low angle first:
2theta	d/Å	I_rel
25.13	3.543	64
25.43	3.503	16
25.57	3.484	19
26.58	3.354	100
28.89	3.090	52
42.64	2.121	12
42.95	2.106	24
43.65	2.073	33
43.89	2.063	26
48.13	1.891	19
50.40	1.810	33
52.06	1.757	12

Structure:
```
Nd2Pb5F16
1.0
3.552 -2.106 0.000
3.552 2.106 0.000
-1.357 0.000 24.801
Nd Pb F
2 5 16
Direct
0.000 0.000 0.000
0.722 0.722 0.147
0.068 0.068 0.289
0.288 0.288 0.712
0.449 0.449 0.429
0.650 0.650 0.856
0.939 0.939 0.570
0.032 0.032 0.095
0.054 0.054 0.194
0.093 0.093 0.465
0.264 0.264 0.609
0.307 0.307 0.822
0.339 0.339 0.000
0.383 0.383 0.147
0.411 0.411 0.321
0.574 0.574 0.537
0.632 0.632 0.747
0.667 0.667 0.954
0.690 0.690 0.052
0.728 0.728 0.246
0.755 0.755 0.391
0.946 0.946 0.674
0.993 0.993 0.900
```

---

Theoretical X-ray powder pattern of NdPb6F15 for a wavelength of 1.5418 Å, from the PBE geometry in Alexandria.
Kinematic intensities with the Lorentz-polarization factor, no thermal factor.

Principal peaks in the range 10 to 90 degrees two-theta, low angle first:
2theta	d/Å	I_rel
25.42	3.503	35
26.05	3.421	100
29.98	2.980	48
42.52	2.126	39
43.31	2.089	40
50.19	1.818	18
50.88	1.795	22
50.92	1.793	11
51.24	1.783	16
53.57	1.711	10
62.31	1.490	12
70.11	1.342	10

Structure:
```
NdPb6F15
1.0
3.614 -2.091 0.000
3.614 2.091 0.000
-2.404 0.000 24.523
Nd Pb F
1 6 15
Direct
0.000 0.000 0.000
0.133 0.133 0.422
0.282 0.282 0.854
0.420 0.420 0.279
0.564 0.564 0.708
0.707 0.707 0.136
0.847 0.847 0.566
0.030 0.030 0.099
0.098 0.098 0.315
0.169 0.169 0.529
0.242 0.242 0.745
0.316 0.316 0.951
0.348 0.348 0.049
0.387 0.387 0.174
0.454 0.454 0.386
0.527 0.527 0.604
0.605 0.605 0.821
0.666 0.666 0.001
0.741 0.741 0.239
0.811 0.811 0.459
0.885 0.885 0.672
0.964 0.964 0.898
```

---

Theoretical X-ray powder pattern of NdPb3F8 for a wavelength of 1.5418 Å, from the PBE geometry in Alexandria.
Kinematic intensities with the Lorentz-polarization factor, no thermal factor.

Principal peaks in the range 10 to 90 degrees two-theta, low angle first:
2theta	d/Å	I_rel
20.94	4.243	1
25.72	3.464	100
29.78	3.000	33
33.39	2.683	2
42.62	2.121	56
50.45	1.809	49
52.86	1.732	10
61.86	1.500	9
68.12	1.376	21
70.15	1.342	14
78.02	1.225	18
83.77	1.155	16

Structure:
```
NdPb3F8
1.0
6.000 0.000 0.000
0.000 6.000 0.000
0.000 0.000 6.000
Nd Pb F
1 3 8
Direct
0.000 0.000 0.000
0.000 0.500 0.500
0.500 0.000 0.500
0.500 0.500 0.000
0.230 0.230 0.230
0.230 0.230 0.770
0.230 0.770 0.230
0.230 0.770 0.770
0.770 0.230 0.230
0.770 0.230 0.770
0.770 0.770 0.230
0.770 0.770 0.770
```